[1]
Starting from the PBE geometry in Alexandria, the XRD peak list of K4Rb10Na was simulated for a wavelength of 1.5418 Å.
Lines closer than 0.1° are merged.

The 8 most intense peaks (10 to 90 degrees two-theta), most intense first:
24.1 deg, d = 3.696 Å, I 100; 23.9 deg, d = 3.717 Å, I 51; 16.9 deg, d = 5.257 Å, I 47; 42.2 deg, d = 2.142 Å, I 40; 29.5 deg, d = 3.024 Å, I 24; 17.1 deg, d = 5.198 Å, I 23; 38.3 deg, d = 2.348 Å, I 22; 42.4 deg, d = 2.130 Å, I 20

Crystal structure
```
K4Rb10Na
1.0
-8.312 8.312 5.198
8.312 -8.312 5.198
8.312 8.312 -5.198
K Rb Na
4 10 1
Direct
0.101 0.702 0.804
0.298 0.101 0.399
0.702 0.899 0.601
0.899 0.298 0.196
0.072 0.357 0.905
0.167 0.072 0.715
0.250 0.750 0.500
0.357 0.452 0.285
0.452 0.167 0.095
0.548 0.833 0.905
0.643 0.548 0.715
0.750 0.250 0.500
0.833 0.928 0.285
0.928 0.643 0.095
0.500 0.500 0.000
```

***

[2]
Starting from the PBE geometry in Alexandria, the XRD peak list of TlCdInHg2 was simulated for a wavelength of 1.5418 Å.
Lines closer than 0.1° are merged.

The 8 most intense peaks (10 to 90 degrees two-theta), most intense first:
34.4 deg, d = 2.611 Å, I 100; 35.0 deg, d = 2.560 Å, I 73; 24.3 deg, d = 3.656 Å, I 45; 62.0 deg, d = 1.497 Å, I 28; 49.9 deg, d = 1.828 Å, I 27; 45.4 deg, d = 1.998 Å, I 23; 70.6 deg, d = 1.335 Å, I 19; 61.5 deg, d = 1.507 Å, I 19

Crystal structure
```
TlCdInHg2
1.0
5.221 0.000 0.000
-2.611 4.522 0.000
0.000 0.000 6.212
Tl Cd In Hg
1 1 1 2
Direct
0.000 0.000 0.000
0.333 0.667 0.731
0.667 0.333 0.298
0.333 0.667 0.253
0.667 0.333 0.775
```